1.
Starting from a cell relaxed with PBE, the powder diffraction line list of Ni3Sn2As2 was calculated for Cu Kα (λ = 1.5418 Å).
Neutral-atom scattering factors, no anomalous dispersion.

Principal peaks in the range 2θ = 10–80°, by angle:
2theta, d/Å, Rel. int.
31.69, 2.824, 68
33.44, 2.679, 100
37.93, 2.372, 41
38.59, 2.333, 37
39.34, 2.290, 32
40.91, 2.206, 48
46.74, 1.944, 94
50.76, 1.798, 32
58.68, 1.573, 25
70.26, 1.340, 36

Structure:
```
Ni3Sn2As2
1.0
2.679 1.547 4.744
-2.679 1.547 4.744
0.000 -3.094 4.744
Ni Sn As
3 2 2
direct
0.000 0.500 0.500
0.500 0.000 0.500
0.500 0.500 0.000
0.000 0.000 0.000
0.500 0.500 0.500
0.209 0.209 0.209
0.791 0.791 0.791
```


2.
Starting from a cell relaxed with PBE, the powder diffraction line list of Pr4PuBi5 was calculated for Cu Kα (λ = 1.5418 Å).
Neutral-atom scattering factors, no anomalous dispersion.

Principal peaks in the range 2θ = 10–80°, by angle:
2theta, d/Å, Rel. int.
23.57, 3.775, 3
27.28, 3.270, 100
38.96, 2.312, 79
46.03, 1.972, 2
48.21, 1.888, 29
56.24, 1.636, 9
56.34, 1.633, 5
63.61, 1.463, 26
63.69, 1.461, 13
70.56, 1.335, 28

Structure:
```
Pr4PuBi5
1.0
-2.313 2.313 16.329
2.313 -2.313 16.329
2.313 2.313 -16.329
Pr Pu Bi
4 1 5
direct
0.100 0.100 0.000
0.300 0.300 0.000
0.700 0.700 0.000
0.900 0.900 0.000
0.500 0.500 0.000
0.000 0.000 0.000
0.200 0.200 0.000
0.401 0.401 0.000
0.599 0.599 0.000
0.800 0.800 0.000
```


3.
Starting from a cell relaxed with PBE, the powder diffraction line list of Cs2TlIF4 was calculated for Cu Kα (λ = 1.5418 Å).
Neutral-atom scattering factors, no anomalous dispersion.

Principal peaks in the range 2θ = 10–80°, by angle:
2theta, d/Å, Rel. int.
24.65, 3.612, 100
25.82, 3.450, 50
27.65, 3.226, 33
34.65, 2.589, 17
37.35, 2.408, 26
42.96, 2.105, 17
43.36, 2.087, 16
44.06, 2.055, 16
46.47, 1.954, 13
50.60, 1.804, 10

Structure:
```
Cs2TlIF4
1.0
5.187 -7.237 0.000
5.187 7.237 0.000
-4.799 0.000 6.452
Cs Tl I F
4 2 2 8
direct
0.000 0.000 0.000
0.000 0.000 0.500
0.000 0.500 0.000
0.500 0.000 0.500
0.500 0.500 0.000
0.500 0.500 0.500
0.000 0.500 0.500
0.500 0.000 0.000
0.124 0.712 0.445
0.236 0.336 0.053
0.288 0.876 0.055
0.336 0.236 0.553
0.664 0.764 0.447
0.712 0.124 0.945
0.764 0.664 0.947
0.876 0.288 0.555
```